1.
Starting from a crystal structure in Alexandria, relaxed with PBE, the powder diffraction line list of BaReHgO6 was calculated for copper Kα.

Crystal structure
Cell lengths 5.347, 5.769, 5.787 Å; angles 116.83, 93.06, 91.52 degrees
Space group P1 (No. 1)
One atom of each set of equivalent atoms:
Ba  0.000  0.000  0.000 x1
Re  0.449  0.642  0.326 x1
Hg  0.550  0.339  0.687 x1
O  0.214  0.552  0.060 x1
O  0.283  0.878  0.577 x1
O  0.332  0.338  0.370 x1
O  0.649  0.319  0.019 x1
O  0.666  0.852  0.272 x1
O  0.725  0.612  0.553 x1

Most intense lines, 2θ from 15° to 90°, sorted by position:
Position (°2θ)	d/Å	intensity
16.63	5.331	48
23.12	3.848	52
23.35	3.810	20
24.77	3.594	100
29.60	3.018	42
31.03	2.882	70
32.98	2.716	13
33.62	2.666	18
39.98	2.255	17
40.12	2.248	16
43.56	2.078	17
53.33	1.718	18


2.
Starting from a crystal structure in Alexandria, relaxed with PBE, the powder diffraction line list of AcGa4Ge3 was calculated for copper Kα.

Crystal structure
Cell lengths 4.927, 4.927, 7.252 Å; angles 90.00, 90.00, 90.00 degrees
Space group P4/mmm (No. 123)
One atom of each set of equivalent atoms:
Ac  0.000  0.000  0.000 x1
Ga  0.000  0.500  0.320 x4
Ge  0.000  0.000  0.500 x1
Ge  0.500  0.500  0.175 x2

Most intense lines, 2θ from 15° to 90°, sorted by position:
Position (°2θ)	d/Å	intensity
18.00	4.927	21
28.42	3.140	80
30.61	2.920	86
35.74	2.512	60
36.47	2.463	100
41.61	2.170	22
48.34	1.883	49
52.54	1.742	35
56.51	1.628	18
60.81	1.523	19
65.17	1.431	21
88.82	1.102	16